Computed powder X-ray diffraction pattern
Compound: NbIr3
Radiation: Cu Kα, 1.54184 Å
Structure: a cell relaxed with PBE
Peak positions follow from Bragg's law for the DFT cell and can differ from measured ones.

Atomic structure:
Unit cell a=3.931 b=3.931 c=3.931 alpha=90.00 beta=90.00 gamma=90.00
Space group Pm-3m (No. 221)
Asymmetric unit:
1 Nb 0.000 0.000 0.000 [1 per cell]
2 Ir 0.000 0.500 0.500 [3 per cell]

The 8 most intense peaks (2θ = 15–90°), in order of rising 2θ:
| 2θ (°) | I_rel | h k l |
| --- | --- | --- |
| 22.62 | 6 | 1 0 0 |
| 32.20 | 5 | 1 1 0 |
| 39.71 | 100 | 1 1 1 |
| 46.18 | 49 | 2 0 0 |
| 52.01 | 3 | 2 1 0 |
| 67.37 | 32 | 2 2 0 |
| 81.14 | 38 | 3 1 1 |
| 85.57 | 11 | 2 2 2 |